This entry pairs a crystal structure of Na6Cd23Au with its theoretical XRD peak list. Radiation: copper Kα. Structure: a structure optimized by DFT (GGA-PBE).
Lines closer than 0.1° are merged.

Atomic structure:
```
Na6Cd23Au
1.0
0.0000 7.1109 7.1109
7.1109 0.0000 7.1109
7.1109 7.1109 0.0000
Na Cd Au
6 23 1
Cartesian
7.1109 7.1109 2.9877
7.1109 2.9877 7.1109
11.2341 7.1109 7.1109
2.9877 7.1109 7.1109
7.1109 11.2341 7.1109
7.1109 7.1109 11.2341
3.5555 3.5555 0.0000
3.5555 0.0000 3.5555
7.1109 3.5555 3.5555
8.8236 5.3983 5.3983
2.3263 2.3263 2.3263
4.7846 4.7846 2.3263
4.7846 2.3263 4.7846
5.3983 5.3983 5.3983
8.8236 8.8236 5.3983
8.8236 5.3983 8.8236
11.8955 9.4372 9.4372
0.0000 3.5555 3.5555
3.5555 7.1109 3.5555
3.5555 3.5555 7.1109
7.1109 7.1109 7.1109
2.3263 4.7846 4.7846
5.3983 8.8236 5.3983
5.3983 5.3983 8.8236
8.8236 8.8236 8.8236
9.4372 11.8955 9.4372
9.4372 9.4372 11.8955
11.8955 11.8955 11.8955
5.3983 8.8236 8.8236
0.0000 0.0000 0.0000
```

The 10 most intense peaks (5 to 70 degrees two-theta), in order of rising 2θ:
4.105 Å, 2θ = 21.65°, I = 27.2
2.737 Å, 2θ = 32.72°, I = 27.4
2.514 Å, 2θ = 35.71°, I = 100.0
2.404 Å, 2θ = 37.41°, I = 12.3
2.169 Å, 2θ = 41.64°, I = 13.6
2.144 Å, 2θ = 42.15°, I = 29.1
1.778 Å, 2θ = 51.40°, I = 8.7
1.491 Å, 2θ = 62.28°, I = 12.5
1.452 Å, 2θ = 64.16°, I = 21.1
1.368 Å, 2θ = 68.57°, I = 9.9